Computed X-ray powder pattern of LiVSiO4 for CuKα, from a GGA+U-relaxed structure.
Lines closer than 0.1° are merged.

Cell: 4.8613 4.8613 7.6943 Å, 90.00 90.00 90.00°
Space group I-4 (No. 82)
Asymmetric unit:
Li (0.0000, 0.0000, 0.0000)
V (0.0000, 0.0000, 0.5000)
Si (0.0000, 0.5000, 0.7500)
O (0.1838, 0.7070, 0.6266)

The 12 most intense peaks (2θ = 15–90°), in order of rising 2θ:
- (1 0 1), 2θ = 21.62°, I 100
- (1 1 2), 2θ = 35.01°, I 64
- (1 0 3), 2θ = 39.74°, I 8
- (2 1 1), 2θ = 43.24°, I 17
- (2 2 0), 2θ = 53.30°, I 12
- (1 2 3), 2θ = 55.40°, I 13
- (2 0 4), 2θ = 61.47°, I 17
- (3 1 2), 2θ = 65.37°, I 13
- (3 0 3), 2θ = 68.49°, I 4
- (3 2 1), 2θ = 70.97°, I 7
- (1 2 5), 2θ = 75.72°, I 5
- (1 1 6), 2θ = 79.83°, I 4